No. 1
The following is a simulated PXRD pattern of K4Pu3PdS8. It was derived from a GGA-PBE-relaxed structure, using Cu Kα, 1.54184 Å.
Intensities are scaled so that the largest is 100.

Principal peaks in the range 2θ from 10° to 90°, by angle:
d [Å], 2θ/deg, I (rel.), hkl
7.346, 12.0, 100.0, 0 0 1
3.674, 24.2, 24.1, 0 0 2
3.402, 26.2, 38.9, 4 0 -2
3.311, 26.9, 30.4, 2 2 0
3.083, 29.0, 37.0, 4 0 0
2.901, 30.8, 61.5, 2 2 -2

Crystal structure
```
data_K4Pu3PdS8
_chemical_formula_sum 'K8 Pu6 Pd2 S16'
_cell_length_a 14.509
_cell_length_b 7.851
_cell_length_c 8.642
_cell_angle_alpha 90.00
_cell_angle_beta 121.79
_cell_angle_gamma 90.00
_symmetry_space_group_name_H-M 'C 1 2/m 1'
_symmetry_Int_Tables_number 12
_symmetry_space_group_name_Hall '-C 2y'
loop_
_atom_site_label
_atom_site_fract_x
_atom_site_fract_y
_atom_site_fract_z
K1 0.000 0.000 0.000
K2 0.000 0.500 0.000
K3 0.250 0.250 0.000
Pu1 0.000 0.000 0.500
Pu2 0.250 0.250 0.500
Pd1 0.000 0.500 0.500
S1 0.021 0.273 0.320
S2 0.230 0.000 0.702
S3 0.235 0.000 0.278
```



No. 2
The following is a simulated PXRD pattern of K4Pu3PdSe8. It was derived from a GGA-PBE-relaxed structure, using Cu Kα, 1.54184 Å.
Intensities are scaled so that the largest is 100.

Principal peaks in the range 2θ from 10° to 90°, by angle:
d [Å], 2θ/deg, I (rel.), hkl
7.665, 11.5, 100.0, 0 0 1
3.164, 28.2, 45.6, 4 0 0
3.032, 29.5, 77.6, 2 2 -2
2.410, 37.3, 21.3, 2 2 -3
2.262, 39.9, 28.6, 2 2 2
2.123, 42.6, 29.6, 6 2 -2

Crystal structure
```
data_K4Pu3PdSe8
_chemical_formula_sum 'K8 Pu6 Pd2 Se16'
_cell_length_a 14.879
_cell_length_b 8.227
_cell_length_c 9.010
_cell_angle_alpha 90.00
_cell_angle_beta 121.71
_cell_angle_gamma 90.00
_symmetry_space_group_name_H-M 'C 1 2/m 1'
_symmetry_Int_Tables_number 12
_symmetry_space_group_name_Hall '-C 2y'
loop_
_atom_site_label
_atom_site_fract_x
_atom_site_fract_y
_atom_site_fract_z
K1 0.000 0.000 0.000
K2 0.000 0.500 0.000
K3 0.250 0.250 0.000
Pu1 0.000 0.000 0.500
Pu2 0.250 0.250 0.500
Pd1 0.000 0.500 0.500
Se1 0.018 0.273 0.316
Se2 0.231 0.000 0.706
Se3 0.241 0.000 0.278
```



No. 3
The following is a simulated PXRD pattern of KPuPdSe3. It was derived from a GGA-PBE-relaxed structure, using Cu Kα, 1.54184 Å.
Intensities are scaled so that the largest is 100.

Principal peaks in the range 2θ from 10° to 90°, by angle:
d [Å], 2θ/deg, I (rel.), hkl
7.411, 11.9, 100.0, 1 0 -1
3.065, 29.1, 17.8, 0 0 3
3.034, 29.4, 29.6, 2 1 -1
2.987, 29.9, 27.4, 2 1 0
2.551, 35.2, 17.0, 1 1 -3
2.040, 44.4, 18.9, 2 1 -4

Crystal structure
```
data_KPuPdSe3
_chemical_formula_sum 'K2 Pu2 Pd2 Se6'
_cell_length_a 8.850
_cell_length_b 4.222
_cell_length_c 9.626
_cell_angle_alpha 90.00
_cell_angle_beta 107.22
_cell_angle_gamma 90.00
_symmetry_space_group_name_H-M 'P 1 21/m 1'
_symmetry_Int_Tables_number 11
_symmetry_space_group_name_Hall '-P 2yb'
loop_
_atom_site_label
_atom_site_fract_x
_atom_site_fract_y
_atom_site_fract_z
K1 0.199 0.250 0.242
Pu1 0.320 0.750 0.847
Pd1 0.086 0.250 0.587
Se1 0.117 0.250 0.868
Se2 0.216 0.750 0.541
Se3 0.459 0.750 0.157
```



No. 4
The following is a simulated PXRD pattern of KRbPd. It was derived from a GGA-PBE-relaxed structure, using Cu Kα, 1.54184 Å.
Intensities are scaled so that the largest is 100.

Principal peaks in the range 2θ from 10° to 90°, by angle:
d [Å], 2θ/deg, I (rel.), hkl
6.188, 14.3, 81.3, 1 0 0
5.718, 15.5, 100.0, 1 0 -1
3.346, 26.6, 67.7, 0 1 2
3.137, 28.4, 71.8, 2 0 -1
2.402, 37.4, 58.2, 2 1 1
2.336, 38.5, 48.0, 1 0 -4

Crystal structure
```
data_KRbPd
_chemical_formula_sum 'K2 Rb2 Pd2'
_cell_length_a 6.322
_cell_length_b 4.824
_cell_length_c 9.490
_cell_angle_alpha 90.00
_cell_angle_beta 101.81
_cell_angle_gamma 90.00
_symmetry_space_group_name_H-M 'P 1 21/m 1'
_symmetry_Int_Tables_number 11
_symmetry_space_group_name_Hall '-P 2yb'
loop_
_atom_site_label
_atom_site_fract_x
_atom_site_fract_y
_atom_site_fract_z
K1 0.150 0.250 0.145
Rb1 0.307 0.250 0.685
Pd1 0.418 0.750 0.978
```



No. 5
The following is a simulated PXRD pattern of K6Rb8Pd. It was derived from a GGA-PBE-relaxed structure, using Cu Kα, 1.54184 Å.
Intensities are scaled so that the largest is 100.

Principal peaks in the range 2θ from 10° to 90°, by angle:
d [Å], 2θ/deg, I (rel.), hkl
3.974, 22.4, 90.3, 1 2 2
3.954, 22.5, 29.3, 0 0 6
3.438, 25.9, 100.0, 3 -1 4
2.436, 36.9, 39.8, 4 1 0
2.426, 37.1, 38.0, 1 2 8
2.075, 43.6, 44.1, 6 -2 2

Crystal structure
```
data_K6Rb8Pd
_chemical_formula_sum 'K18 Rb24 Pd3'
_cell_length_a 12.8871
_cell_length_b 12.8871
_cell_length_c 23.7242
_cell_angle_alpha 90.00
_cell_angle_beta 90.00
_cell_angle_gamma 120.00
_symmetry_space_group_name_H-M 'R -3'
_symmetry_Int_Tables_number 148
_symmetry_space_group_name_Hall '-R 3'
loop_
_atom_site_label
_atom_site_fract_x
_atom_site_fract_y
_atom_site_fract_z
K1 0.0546 0.8201 0.4197
Rb1 0.0000 0.0000 0.2544
Rb2 0.0437 0.8114 0.9207
Pd1 0.0000 0.0000 0.0000
```



No. 6
The following is a simulated PXRD pattern of K2Rb8Pd. It was derived from a GGA-PBE-relaxed structure, using Cu Kα, 1.54184 Å.
Intensities are scaled so that the largest is 100.

Principal peaks in the range 2θ from 10° to 90°, by angle:
d [Å], 2θ/deg, I (rel.), hkl
4.146, 21.4, 62.0, 2 0 -2
4.019, 22.1, 59.6, 0 2 1
3.936, 22.6, 60.8, 4 0 1
3.903, 22.8, 88.7, 6 0 -1
3.585, 24.8, 100.0, 2 2 1
2.391, 37.6, 49.1, 8 2 0

Crystal structure
```
data_K2Rb8Pd
_chemical_formula_sum 'K4 Rb16 Pd2'
_cell_length_a 23.657
_cell_length_b 9.387
_cell_length_c 8.291
_cell_angle_alpha 90.00
_cell_angle_beta 109.93
_cell_angle_gamma 90.00
_symmetry_space_group_name_H-M 'C 1 2/m 1'
_symmetry_Int_Tables_number 12
_symmetry_space_group_name_Hall '-C 2y'
loop_
_atom_site_label
_atom_site_fract_x
_atom_site_fract_y
_atom_site_fract_z
K1 0.247 0.000 0.050
Rb1 0.056 0.248 0.797
Rb2 0.130 0.000 0.423
Rb3 0.153 0.500 0.361
Pd1 0.000 0.000 0.500
```